For Rb4Dy3MoO8, a crystal structure in Alexandria, relaxed with PBE+U gives the computed powder XRD pattern in this record (copper Kα).

Structural model:
a = 7.653 Å, b = 7.653 Å, c = 7.653 Å
α = 53.91°, β = 53.91°, γ = 53.91°
Element x y z (fractional)
1 Rb 0.000 0.000 0.000
2 Rb 0.000 0.500 0.500
3 Rb 0.500 0.000 0.500
4 Rb 0.500 0.500 0.000
5 Dy 0.000 0.000 0.500
6 Dy 0.000 0.500 0.000
7 Dy 0.500 0.000 0.000
8 Mo 0.500 0.500 0.500
9 O 0.225 0.225 0.225
10 O 0.231 0.722 0.722
11 O 0.278 0.278 0.769
12 O 0.278 0.769 0.278
13 O 0.722 0.231 0.722
14 O 0.722 0.722 0.231
15 O 0.769 0.278 0.278
16 O 0.775 0.775 0.775

The 8 most intense peaks (5 to 70 degrees two-theta), sorted by position:
d/Å, Position (°2θ), I/Imax
6.521, 13.58, 27
3.261, 27.35, 43
2.872, 31.14, 81
2.560, 35.05, 100
1.897, 47.97, 35
1.735, 52.77, 31
1.639, 56.10, 20
1.531, 60.45, 29